Diffraction record for Er3Tm4Cu4. The XRD peak list is simulated, not measured: it uses a crystal structure in Alexandria, relaxed with PBE and Cu Ka.
Intensities are scaled so that the largest is 1000.

Structure:
```
data_Er3Tm4Cu4
_symmetry_space_group_name_H-M 'I m m m'
_symmetry_Int_Tables_number 71
_symmetry_space_group_name_Hall '-I 2 2'
_cell_length_a 4.765
_cell_length_b 7.262
_cell_length_c 14.863
_cell_angle_alpha 90.00
_cell_angle_beta 90.00
_cell_angle_gamma 90.00
loop_
_atom_site_label
_atom_site_fract_x
_atom_site_fract_y
_atom_site_fract_z
Er1 0.000 0.000 0.000
Er2 0.000 0.500 0.105
Tm1 0.000 0.281 0.328
Cu1 0.000 0.000 0.201
Cu2 0.000 0.169 0.500
```

Principal peaks in the range 5 to 70 degrees two-theta, by intensity:
- 2θ = 31.6°, d = 2.835 Å, intensity 1000, (1 2 1)
- 2θ = 33.0°, d = 2.717 Å, intensity 488, (1 1 4)
- 2θ = 37.8°, d = 2.383 Å, intensity 466, (2 0 0)
- 2θ = 36.0°, d = 2.495 Å, intensity 390, (1 2 3)
- 2θ = 32.5°, d = 2.751 Å, intensity 279, (0 1 5)
- 2θ = 25.9°, d = 3.435 Å, intensity 243, (1 0 3)
- 2θ = 43.7°, d = 2.072 Å, intensity 204, (1 2 5)
- 2θ = 35.6°, d = 2.522 Å, intensity 187, (1 0 5)
- 2θ = 57.4°, d = 1.606 Å, intensity 185, (2 3 3)
- 2θ = 27.3°, d = 3.262 Å, intensity 176, (0 2 2)